For La4Ge2SeCl, a crystal structure in Alexandria, relaxed with GGA-PBE gives the computed powder diffraction line list in this record (CuKα).

The 8 most intense peaks (2θ = 10–90°), in order of falling intensity:
29.03°, intensity 100.0, (2 0 0)
41.67°, intensity 74.1, (2 0 4)
29.24°, intensity 49.0, (0 0 4)
51.59°, intensity 39.5, (2 2 4)
41.52°, intensity 37.5, (2 2 0)
25.13°, intensity 33.4, (1 1 2)
75.86°, intensity 24.8, (4 2 4)
68.17°, intensity 16.9, (4 2 0)

Crystal structure
Unit cell a=6.152 b=6.152 c=12.217 alpha=90.00 beta=90.00 gamma=90.00
Space group I4/mmm (No. 139)
Symmetry-distinct sites (fractional):
1 La 0.000 0.000 0.247 [4 per cell]
2 La 0.000 0.500 0.000 [4 per cell]
3 Ge 0.000 0.500 0.250 [4 per cell]
4 Se 0.000 0.000 0.000 [2 per cell]
5 Cl 0.000 0.000 0.500 [2 per cell]

---

For Ac3CeAs4, a crystal structure in Alexandria, relaxed with GGA-PBE gives the computed powder diffraction line list in this record (CuKα).

The 8 most intense peaks (2θ = 10–90°), in order of falling intensity:
28.20°, intensity 100.0, (2 0 1)
40.31°, intensity 77.2, (0 0 2)
24.36°, intensity 36.7, (2 2 0)
66.02°, intensity 36.1, (2 0 3)
49.92°, intensity 27.8, (0 4 2)
73.28°, intensity 26.6, (2 4 3)
47.66°, intensity 19.9, (4 2 1)
58.32°, intensity 13.1, (4 0 2)

Crystal structure
Unit cell a=8.955 b=12.651 c=4.475 alpha=90.00 beta=90.00 gamma=90.00
Space group Cmmm (No. 65)
Symmetry-distinct sites (fractional):
1 Ac 0.000 0.000 0.000 [2 per cell]
2 Ac 0.250 0.250 0.500 [4 per cell]
3 Ce 0.000 0.500 0.000 [2 per cell]
4 As 0.000 0.257 0.000 [4 per cell]
5 As 0.237 0.500 0.500 [4 per cell]